# 1
For Y5Si3, a crystal structure in Alexandria, relaxed with GGA-PBE gives the simulated X-ray powder pattern in this record (Cu Kα (λ = 1.5418 Å)).
Lines closer than 0.1° are merged.

Main lines, sorted by position (2θ from 15° to 90°):
Position (°2θ), intensity
25.3, 29
30.5, 44
32.3, 47
35.2, 92
35.3, 100
36.8, 40
51.9, 26
54.4, 28
57.7, 29
58.1, 26

Structural model:
```
Y5Si3
1.0
8.4560 0.0000 0.0000
-4.2280 7.3231 0.0000
0.0000 0.0000 6.3866
Y Si
10 6
Direct
0.0000 0.2433 0.2500
0.0000 0.7567 0.7500
0.2433 0.0000 0.2500
0.2433 0.2433 0.7500
0.3333 0.6667 0.0000
0.3333 0.6667 0.5000
0.6667 0.3333 0.0000
0.6667 0.3333 0.5000
0.7567 0.0000 0.7500
0.7567 0.7567 0.2500
0.0000 0.3944 0.7500
0.0000 0.6056 0.2500
0.3944 0.0000 0.7500
0.3944 0.3944 0.2500
0.6056 0.0000 0.2500
0.6056 0.6056 0.7500
```



# 2
For Y2Zn16Si, a crystal structure in Alexandria, relaxed with GGA-PBE gives the simulated X-ray powder pattern in this record (Cu Kα (λ = 1.5418 Å)).
Lines closer than 0.1° are merged.

Main lines, sorted by position (2θ from 15° to 90°):
Position (°2θ), intensity
34.3, 28
39.8, 46
40.3, 100
41.8, 45
45.2, 54
59.1, 13
65.5, 18
72.3, 20
75.4, 17
87.2, 16

Structural model:
```
Y2Zn16Si
1.0
4.5268 2.6136 4.3192
-4.5268 2.6136 4.3192
0.0000 -5.2272 4.3192
Y Zn Si
2 16 1
Direct
0.0000 0.0000 0.0000
0.3347 0.3347 0.3347
0.0184 0.0184 0.5024
0.0184 0.5024 0.0184
0.1756 0.6642 0.6642
0.3191 0.3191 0.8342
0.3191 0.8342 0.3191
0.3620 0.6679 0.9750
0.3620 0.9750 0.6679
0.5024 0.0184 0.0184
0.5768 0.5768 0.5768
0.6642 0.1756 0.6642
0.6642 0.6642 0.1756
0.6679 0.3620 0.9750
0.6679 0.9750 0.3620
0.8342 0.3191 0.3191
0.9750 0.3620 0.6679
0.9750 0.6679 0.3620
0.7714 0.7714 0.7714
```



# 3
For Y2Zn2Si3, a crystal structure in Alexandria, relaxed with GGA-PBE gives the simulated X-ray powder pattern in this record (Cu Kα (λ = 1.5418 Å)).
Lines closer than 0.1° are merged.

Main lines, sorted by position (2θ from 15° to 90°):
Position (°2θ), intensity
31.9, 24
34.5, 76
35.2, 100
37.3, 23
39.1, 18
44.0, 34
44.5, 39
57.0, 21
64.4, 25
78.3, 14

Structural model:
```
Y2Zn2Si3
1.0
2.0565 -9.2265 0.0000
2.0565 9.2265 0.0000
0.0000 0.0000 6.8142
Y Zn Si
4 4 6
Direct
0.0492 0.9508 0.7500
0.1553 0.8447 0.2500
0.8447 0.1553 0.7500
0.9508 0.0492 0.2500
0.3209 0.6791 0.0633
0.3209 0.6791 0.4367
0.6791 0.3209 0.5633
0.6791 0.3209 0.9367
0.2194 0.7806 0.7500
0.4424 0.5576 0.5766
0.4424 0.5576 0.9234
0.5576 0.4424 0.0766
0.5576 0.4424 0.4234
0.7806 0.2194 0.2500
```



# 4
For Y4ZrSi3, a crystal structure in Alexandria, relaxed with GGA-PBE gives the simulated X-ray powder pattern in this record (Cu Kα (λ = 1.5418 Å)).
Lines closer than 0.1° are merged.

Main lines, sorted by position (2θ from 15° to 90°):
Position (°2θ), intensity
24.6, 25
25.7, 32
31.4, 43
32.8, 48
35.9, 100
36.0, 92
37.3, 42
52.9, 25
55.7, 26
59.2, 27

Structural model:
```
Y4ZrSi3
1.0
8.3468 0.0000 0.0000
-4.1734 7.2286 0.0000
0.0000 0.0000 6.2109
Y Zr Si
8 2 6
Direct
0.0000 0.2452 0.2442
0.0000 0.7548 0.7558
0.2452 0.0000 0.2442
0.2452 0.2452 0.7558
0.3333 0.6667 0.5000
0.6667 0.3333 0.5000
0.7548 0.0000 0.7558
0.7548 0.7548 0.2442
0.3333 0.6667 0.0000
0.6667 0.3333 0.0000
0.0000 0.3992 0.7768
0.0000 0.6008 0.2232
0.3992 0.0000 0.7768
0.3992 0.3992 0.2232
0.6008 0.0000 0.2232
0.6008 0.6008 0.7768
```



# 5
For Y2Zr3Si4, a crystal structure in Alexandria, relaxed with GGA-PBE gives the simulated X-ray powder pattern in this record (Cu Kα (λ = 1.5418 Å)).
Lines closer than 0.1° are merged.

Main lines, sorted by position (2θ from 15° to 90°):
Position (°2θ), intensity
27.7, 23
28.2, 20
30.6, 19
32.3, 18
33.0, 17
34.6, 18
35.0, 100
35.5, 61
39.2, 30
39.9, 40

Structural model:
```
Y2Zr3Si4
1.0
7.3282 0.0000 0.0000
0.0000 7.3359 0.0000
-2.2038 0.0000 6.7756
Y Zr Si
4 6 8
Direct
0.1927 0.1727 0.0747
0.1927 0.3273 0.5747
0.8073 0.6727 0.4253
0.8073 0.8273 0.9253
0.2521 0.6808 0.2493
0.2521 0.8192 0.7493
0.5000 0.0000 0.5000
0.5000 0.5000 0.0000
0.7479 0.1808 0.2507
0.7479 0.3192 0.7507
0.0815 0.5318 0.8715
0.0815 0.9682 0.3715
0.4921 0.1221 0.8727
0.4921 0.3779 0.3727
0.5079 0.6221 0.6273
0.5079 0.8779 0.1273
0.9185 0.0318 0.6285
0.9185 0.4682 0.1285
```



# 6
For YbSi6, a crystal structure in Alexandria, relaxed with GGA-PBE gives the simulated X-ray powder pattern in this record (Cu Kα (λ = 1.5418 Å)).
Lines closer than 0.1° are merged.

Main lines, sorted by position (2θ from 15° to 90°):
Position (°2θ), intensity
18.7, 44
26.6, 43
32.8, 100
38.0, 8
42.7, 12
51.0, 57
54.8, 13
62.0, 16
65.4, 14
78.2, 16

Structural model:
```
YbSi6
1.0
-3.3483 3.3483 3.3483
3.3483 -3.3483 3.3483
3.3483 3.3483 -3.3483
Yb Si
1 6
Direct
0.0000 0.0000 0.0000
0.2500 0.5000 0.7500
0.2500 0.7500 0.5000
0.5000 0.2500 0.7500
0.5000 0.7500 0.2500
0.7500 0.2500 0.5000
0.7500 0.5000 0.2500
```



# 7
For Zn3Si, a crystal structure in Alexandria, relaxed with GGA-PBE gives the simulated X-ray powder pattern in this record (Cu Kα (λ = 1.5418 Å)).
Lines closer than 0.1° are merged.

Main lines, sorted by position (2θ from 15° to 90°):
Position (°2θ), intensity
15.4, 14
39.2, 100
40.2, 92
45.4, 32
45.8, 31
47.3, 29
67.6, 18
68.0, 27
79.0, 12
79.5, 11

Structural model:
```
Zn3Si
1.0
2.7582 0.0000 0.0000
0.0000 3.8447 0.0000
-0.0459 0.0000 5.7433
Zn Si
3 1
Direct
0.0000 0.0000 0.0000
0.4969 0.5000 0.7505
0.5031 0.5000 0.2495
0.0000 0.0000 0.5000
```



# 8
For ZnSi2, a crystal structure in Alexandria, relaxed with GGA-PBE gives the simulated X-ray powder pattern in this record (Cu Kα (λ = 1.5418 Å)).
Lines closer than 0.1° are merged.

Main lines, sorted by position (2θ from 15° to 90°):
Position (°2θ), intensity
26.4, 7
35.2, 13
40.0, 100
48.6, 5
49.6, 21
51.6, 4
65.6, 18
72.7, 13
72.8, 6
86.5, 25

Structural model:
```
ZnSi2
1.0
-1.2986 1.2986 6.7637
1.2986 -1.2986 6.7637
1.2986 1.2986 -6.7637
Zn Si
1 2
Direct
0.0000 0.0000 0.0000
0.3315 0.3315 0.0000
0.6685 0.6685 0.0000
```



# 9
For Zn3Si23, a crystal structure in Alexandria, relaxed with GGA-PBE gives the simulated X-ray powder pattern in this record (Cu Kα (λ = 1.5418 Å)).
Lines closer than 0.1° are merged.

Main lines, sorted by position (2θ from 15° to 90°):
Position (°2θ), intensity
27.6, 18
30.3, 77
31.6, 75
32.8, 100
35.1, 21
36.2, 17
52.2, 69
53.0, 14
53.8, 20
55.4, 44

Structural model:
```
Zn3Si23
1.0
10.2189 0.0000 0.0000
0.0000 10.2189 0.0000
0.0000 0.0000 10.2189
Zn Si
6 46
Direct
0.0000 0.2500 0.5000
0.0000 0.7500 0.5000
0.2500 0.5000 0.0000
0.5000 0.0000 0.2500
0.5000 0.0000 0.7500
0.7500 0.5000 0.0000
0.0000 0.3083 0.1170
0.0000 0.3083 0.8830
0.0000 0.5000 0.2500
0.0000 0.5000 0.7500
0.0000 0.6917 0.1170
0.0000 0.6917 0.8830
0.1170 0.0000 0.3083
0.1170 0.0000 0.6917
0.1838 0.1838 0.1838
0.1838 0.1838 0.8162
0.1838 0.8162 0.1838
0.1838 0.8162 0.8162
0.1917 0.5000 0.3830
0.1917 0.5000 0.6170
0.2500 0.0000 0.5000
0.3083 0.1170 0.0000
0.3083 0.8830 0.0000
0.3162 0.3162 0.3162
0.3162 0.3162 0.6838
0.3162 0.6838 0.3162
0.3162 0.6838 0.6838
0.3830 0.1917 0.5000
0.3830 0.8083 0.5000
0.5000 0.2500 0.0000
0.5000 0.3830 0.1917
0.5000 0.3830 0.8083
0.5000 0.6170 0.1917
0.5000 0.6170 0.8083
0.5000 0.7500 0.0000
0.6170 0.1917 0.5000
0.6170 0.8083 0.5000
0.6838 0.3162 0.3162
0.6838 0.3162 0.6838
0.6838 0.6838 0.3162
0.6838 0.6838 0.6838
0.6917 0.1170 0.0000
0.6917 0.8830 0.0000
0.7500 0.0000 0.5000
0.8083 0.5000 0.3830
0.8083 0.5000 0.6170
0.8162 0.1838 0.1838
0.8162 0.1838 0.8162
0.8162 0.8162 0.1838
0.8162 0.8162 0.8162
0.8830 0.0000 0.3083
0.8830 0.0000 0.6917
```



# 10
For Zn4Si3, a crystal structure in Alexandria, relaxed with GGA-PBE gives the simulated X-ray powder pattern in this record (Cu Kα (λ = 1.5418 Å)).
Lines closer than 0.1° are merged.

Main lines, sorted by position (2θ from 15° to 90°):
Position (°2θ), intensity
17.4, 34
30.3, 100
39.5, 28
43.4, 64
50.6, 27
53.9, 41
57.0, 15
66.0, 12
79.7, 23
87.6, 16

Structural model:
```
Zn4Si3
1.0
5.1052 0.0000 0.0000
0.0000 5.1052 0.0000
0.0000 0.0000 5.1052
Zn Si
4 3
Direct
0.1844 0.1844 0.8156
0.1844 0.8156 0.1844
0.8156 0.1844 0.1844
0.8156 0.8156 0.8156
0.0000 0.5000 0.5000
0.5000 0.0000 0.5000
0.5000 0.5000 0.0000
```



# 11
For ZnSi23, a crystal structure in Alexandria, relaxed with GGA-PBE gives the simulated X-ray powder pattern in this record (Cu Kα (λ = 1.5418 Å)).
Lines closer than 0.1° are merged.

Main lines, sorted by position (2θ from 15° to 90°):
Position (°2θ), intensity
19.4, 51
31.5, 12
32.7, 100
36.2, 17
37.3, 23
40.4, 16
52.1, 24
52.9, 14
53.7, 20
55.3, 44

Structural model:
```
ZnSi23
1.0
10.2353 0.0000 0.0000
0.0000 10.2353 0.0000
0.0000 0.0000 10.2353
Zn Si
2 46
Direct
0.0000 0.0000 0.0000
0.5000 0.5000 0.5000
0.0000 0.1171 0.3077
0.0000 0.1171 0.6923
0.0000 0.2500 0.5000
0.0000 0.7500 0.5000
0.0000 0.8829 0.3077
0.0000 0.8829 0.6923
0.1171 0.3077 0.0000
0.1171 0.6923 0.0000
0.1834 0.1834 0.1834
0.1834 0.1834 0.8166
0.1834 0.8166 0.1834
0.1834 0.8166 0.8166
0.1923 0.3829 0.5000
0.1923 0.6171 0.5000
0.2500 0.5000 0.0000
0.3077 0.0000 0.1171
0.3077 0.0000 0.8829
0.3166 0.3166 0.3166
0.3166 0.3166 0.6834
0.3166 0.6834 0.3166
0.3166 0.6834 0.6834
0.3829 0.5000 0.1923
0.3829 0.5000 0.8077
0.5000 0.0000 0.2500
0.5000 0.0000 0.7500
0.5000 0.1923 0.3829
0.5000 0.1923 0.6171
0.5000 0.8077 0.3829
0.5000 0.8077 0.6171
0.6171 0.5000 0.1923
0.6171 0.5000 0.8077
0.6834 0.3166 0.3166
0.6834 0.3166 0.6834
0.6834 0.6834 0.3166
0.6834 0.6834 0.6834
0.6923 0.0000 0.1171
0.6923 0.0000 0.8829
0.7500 0.5000 0.0000
0.8077 0.3829 0.5000
0.8077 0.6171 0.5000
0.8166 0.1834 0.1834
0.8166 0.1834 0.8166
0.8166 0.8166 0.1834
0.8166 0.8166 0.8166
0.8829 0.3077 0.0000
0.8829 0.6923 0.0000
```